[1]
Calculated powder diffractogram of YSc2Cu9 for λ = 1.5418 Å (Cu Kα), from a structure optimized by DFT (PBE).

Top 8 peaks for 2θ from 10° to 90°, by angle:
- 2θ = 35.36°, rel. 21
- 2θ = 41.24°, rel. 29
- 2θ = 41.76°, rel. 15
- 2θ = 41.99°, rel. 100
- 2θ = 44.67°, rel. 28
- 2θ = 45.26°, rel. 30
- 2θ = 68.02°, rel. 22
- 2θ = 74.82°, rel. 21

Atomic structure:
Unit cell a=8.627 b=8.627 c=8.627 alpha=34.22 beta=34.22 gamma=34.22
Fractional coordinates of all 12 atoms:
1 Y 0.000 0.000 0.000
2 Sc 0.144 0.144 0.144
3 Sc 0.856 0.856 0.856
4 Cu 0.082 0.586 0.586
5 Cu 0.333 0.333 0.333
6 Cu 0.414 0.414 0.918
7 Cu 0.414 0.918 0.414
8 Cu 0.500 0.500 0.500
9 Cu 0.586 0.082 0.586
10 Cu 0.586 0.586 0.082
11 Cu 0.667 0.667 0.667
12 Cu 0.918 0.414 0.414

=====

[2]
Calculated powder diffractogram of Sc2Ga3 for λ = 1.5418 Å (Cu Kα), from a structure optimized by DFT (PBE).

Top 8 peaks for 2θ from 10° to 90°, by angle:
- 2θ = 26.91°, rel. 37
- 2θ = 35.66°, rel. 100
- 2θ = 36.20°, rel. 43
- 2θ = 40.68°, rel. 91
- 2θ = 42.29°, rel. 45
- 2θ = 46.73°, rel. 26
- 2θ = 56.86°, rel. 22
- 2θ = 70.60°, rel. 33

Atomic structure:
Unit cell a=13.081 b=13.081 c=4.274 alpha=90.00 beta=90.00 gamma=165.33
Fractional coordinates of all 10 atoms:
1 Sc 0.073 0.927 0.750
2 Sc 0.212 0.788 0.250
3 Sc 0.788 0.212 0.750
4 Sc 0.927 0.073 0.250
5 Ga 0.323 0.677 0.250
6 Ga 0.379 0.621 0.750
7 Ga 0.475 0.525 0.750
8 Ga 0.525 0.475 0.250
9 Ga 0.621 0.379 0.250
10 Ga 0.677 0.323 0.750

=====

[3]
Calculated powder diffractogram of Cs2RbSb6 for λ = 1.5418 Å (Cu Kα), from a structure optimized by DFT (PBE).

Top 8 peaks for 2θ from 10° to 90°, by angle:
- 2θ = 13.40°, rel. 26
- 2θ = 21.49°, rel. 29
- 2θ = 26.98°, rel. 39
- 2θ = 28.83°, rel. 14
- 2θ = 32.08°, rel. 100
- 2θ = 50.13°, rel. 14
- 2θ = 50.25°, rel. 14
- 2θ = 50.97°, rel. 26

Atomic structure:
Unit cell a=9.537 b=9.537 c=4.360 alpha=103.21 beta=103.21 gamma=87.75
Fractional coordinates of all 9 atoms:
1 Cs 0.164 0.164 0.162
2 Cs 0.836 0.836 0.838
3 Rb 0.500 0.500 0.500
4 Sb 0.088 0.579 0.334
5 Sb 0.259 0.741 0.000
6 Sb 0.421 0.912 0.666
7 Sb 0.579 0.088 0.334
8 Sb 0.741 0.259 0.000
9 Sb 0.912 0.421 0.666

=====

[4]
Calculated powder diffractogram of Pm4Sb8Rh3 for λ = 1.5418 Å (Cu Kα), from a structure optimized by DFT (PBE).

Top 8 peaks for 2θ from 10° to 90°, by angle:
- 2θ = 27.17°, rel. 15
- 2θ = 29.92°, rel. 15
- 2θ = 33.98°, rel. 100
- 2θ = 34.19°, rel. 28
- 2θ = 40.68°, rel. 48
- 2θ = 54.16°, rel. 15
- 2θ = 58.89°, rel. 16
- 2θ = 69.76°, rel. 24

Atomic structure:
Unit cell a=4.436 b=4.436 c=19.514 alpha=90.00 beta=90.00 gamma=90.00
Fractional coordinates of all 15 atoms:
1 Pm 0.000 0.500 0.119
2 Pm 0.000 0.500 0.625
3 Pm 0.500 0.000 0.375
4 Pm 0.500 0.000 0.881
5 Sb 0.000 0.000 0.247
6 Sb 0.000 0.000 0.753
7 Sb 0.000 0.500 0.424
8 Sb 0.000 0.500 0.933
9 Sb 0.500 0.000 0.067
10 Sb 0.500 0.000 0.576
11 Sb 0.500 0.500 0.248
12 Sb 0.500 0.500 0.752
13 Rh 0.000 0.000 0.000
14 Rh 0.000 0.000 0.500
15 Rh 0.500 0.500 0.500

=====

[5]
Calculated powder diffractogram of K2Ba2Bi4Pd for λ = 1.5418 Å (Cu Kα), from a structure optimized by DFT (PBE).

Top 8 peaks for 2θ from 10° to 90°, by angle:
- 2θ = 16.76°, rel. 27
- 2θ = 28.39°, rel. 100
- 2θ = 32.38°, rel. 53
- 2θ = 33.90°, rel. 22
- 2θ = 46.45°, rel. 19
- 2θ = 47.58°, rel. 34
- 2θ = 55.33°, rel. 32
- 2θ = 58.73°, rel. 18

Atomic structure:
Unit cell a=7.652 b=7.652 c=7.652 alpha=118.54 beta=118.54 gamma=92.54
Fractional coordinates of all 9 atoms:
1 K 0.212 0.212 0.000
2 K 0.788 0.788 0.000
3 Ba 0.250 0.750 0.500
4 Ba 0.750 0.250 0.500
5 Bi 0.252 0.252 0.504
6 Bi 0.252 0.748 0.000
7 Bi 0.748 0.252 0.000
8 Bi 0.748 0.748 0.496
9 Pd 0.500 0.500 0.000

=====

[6]
Calculated powder diffractogram of La6Mg2Cd for λ = 1.5418 Å (Cu Kα), from a structure optimized by DFT (PBE).

Top 8 peaks for 2θ from 10° to 90°, by angle:
- 2θ = 23.69°, rel. 19
- 2θ = 30.84°, rel. 100
- 2θ = 32.24°, rel. 47
- 2θ = 42.02°, rel. 9
- 2θ = 46.24°, rel. 17
- 2θ = 53.93°, rel. 18
- 2θ = 56.62°, rel. 35
- 2θ = 64.24°, rel. 11

Atomic structure:
Unit cell a=10.534 b=8.779 c=7.023 alpha=82.82 beta=55.77 gamma=41.41
Fractional coordinates of all 9 atoms:
1 La 0.151 0.849 0.151
2 La 0.179 0.490 0.510
3 La 0.490 0.179 0.821
4 La 0.510 0.821 0.179
5 La 0.821 0.510 0.490
6 La 0.849 0.151 0.849
7 Mg 0.171 0.171 0.829
8 Mg 0.829 0.829 0.171
9 Cd 0.500 0.500 0.500

=====

[7]
Calculated powder diffractogram of Hf5Zr3 for λ = 1.5418 Å (Cu Kα), from a structure optimized by DFT (PBE).

Top 8 peaks for 2θ from 10° to 90°, by angle:
- 2θ = 32.15°, rel. 24
- 2θ = 35.28°, rel. 25
- 2θ = 36.80°, rel. 100
- 2θ = 48.47°, rel. 15
- 2θ = 57.31°, rel. 18
- 2θ = 64.32°, rel. 20
- 2θ = 69.12°, rel. 21
- 2θ = 70.07°, rel. 15

Atomic structure:
Unit cell a=3.213 b=5.087 c=11.147 alpha=90.00 beta=90.00 gamma=90.00
Fractional coordinates of all 8 atoms:
1 Hf 0.000 0.000 0.000
2 Hf 0.000 0.000 0.494
3 Hf 0.000 0.500 0.328
4 Hf 0.500 0.000 0.247
5 Hf 0.500 0.500 0.082
6 Zr 0.000 0.500 0.833
7 Zr 0.500 0.000 0.746
8 Zr 0.500 0.500 0.577

=====

[8]
Calculated powder diffractogram of TbPmThCd for λ = 1.5418 Å (Cu Kα), from a structure optimized by DFT (PBE).

Top 8 peaks for 2θ from 10° to 90°, by angle:
- 2θ = 31.68°, rel. 100
- 2θ = 34.90°, rel. 40
- 2θ = 40.20°, rel. 12
- 2θ = 50.18°, rel. 14
- 2θ = 54.27°, rel. 20
- 2θ = 60.57°, rel. 32
- 2θ = 66.16°, rel. 11
- 2θ = 88.91°, rel. 9

Atomic structure:
Unit cell a=3.636 b=3.636 c=8.973 alpha=90.00 beta=90.00 gamma=90.00
Fractional coordinates of all 4 atoms:
1 Tb 0.000 0.000 0.000
2 Pm 0.000 0.000 0.535
3 Th 0.500 0.500 0.264
4 Cd 0.500 0.500 0.775

=====

[9]
Calculated powder diffractogram of PrEr6Th for λ = 1.5418 Å (Cu Kα), from a structure optimized by DFT (PBE).

Top 8 peaks for 2θ from 10° to 90°, by angle:
- 2θ = 30.92°, rel. 100
- 2θ = 35.85°, rel. 51
- 2θ = 51.61°, rel. 36
- 2θ = 61.39°, rel. 43
- 2θ = 64.44°, rel. 12
- 2θ = 84.27°, rel. 18
- 2θ = 86.89°, rel. 6
- 2θ = 87.04°, rel. 11

Atomic structure:
Unit cell a=5.006 b=5.006 c=10.032 alpha=90.00 beta=90.00 gamma=90.00
Fractional coordinates of all 8 atoms:
1 Pr 0.000 0.000 0.000
2 Er 0.000 0.500 0.254
3 Er 0.000 0.500 0.746
4 Er 0.500 0.000 0.254
5 Er 0.500 0.000 0.746
6 Er 0.500 0.500 0.000
7 Er 0.500 0.500 0.500
8 Th 0.000 0.000 0.500

=====

[10]
Calculated powder diffractogram of AcSm3Y12 for λ = 1.5418 Å (Cu Kα), from a structure optimized by DFT (PBE).

Top 8 peaks for 2θ from 10° to 90°, by angle:
- 2θ = 17.38°, rel. 8
- 2θ = 30.34°, rel. 100
- 2θ = 35.17°, rel. 50
- 2θ = 50.59°, rel. 35
- 2θ = 60.14°, rel. 41
- 2θ = 63.11°, rel. 12
- 2θ = 82.37°, rel. 16
- 2θ = 85.05°, rel. 10

Atomic structure:
Unit cell a=5.100 b=5.100 c=20.438 alpha=90.00 beta=90.00 gamma=90.00
Fractional coordinates of all 16 atoms:
1 Ac 0.000 0.000 0.000
2 Sm 0.000 0.000 0.252
3 Sm 0.000 0.000 0.500
4 Sm 0.000 0.000 0.748
5 Y 0.000 0.500 0.130
6 Y 0.000 0.500 0.377
7 Y 0.000 0.500 0.623
8 Y 0.000 0.500 0.870
9 Y 0.500 0.000 0.130
10 Y 0.500 0.000 0.377
11 Y 0.500 0.000 0.623
12 Y 0.500 0.000 0.870
13 Y 0.500 0.500 0.000
14 Y 0.500 0.500 0.253
15 Y 0.500 0.500 0.500
16 Y 0.500 0.500 0.747

=====

[11]
Calculated powder diffractogram of BeZn2 for λ = 1.5418 Å (Cu Kα), from a structure optimized by DFT (PBE).

Top 8 peaks for 2θ from 10° to 90°, by angle:
- 2θ = 24.91°, rel. 52
- 2θ = 29.29°, rel. 28
- 2θ = 31.41°, rel. 35
- 2θ = 37.09°, rel. 32
- 2θ = 38.82°, rel. 46
- 2θ = 44.63°, rel. 81
- 2θ = 45.20°, rel. 100
- 2θ = 45.40°, rel. 48

Atomic structure:
Unit cell a=4.715 b=3.995 c=7.994 alpha=90.00 beta=90.00 gamma=90.00
Fractional coordinates of all 12 atoms:
1 Be 0.198 0.250 0.171
2 Be 0.302 0.750 0.671
3 Be 0.698 0.250 0.329
4 Be 0.802 0.750 0.829
5 Zn 0.115 0.250 0.822
6 Zn 0.174 0.250 0.483
7 Zn 0.326 0.750 0.983
8 Zn 0.385 0.750 0.322
9 Zn 0.615 0.250 0.678
10 Zn 0.674 0.250 0.017
11 Zn 0.826 0.750 0.517
12 Zn 0.885 0.750 0.178